Record 1
Structure and simulated XRD peak list of LuNiP (a PBE-relaxed structure; CuKα).
Kinematic intensities with the Lorentz-polarization factor, no thermal factor.

Top 10 peaks for 10 to 90 degrees two-theta, in order of rising 2θ:
| (hkl) | 2theta | d_spacing | I (rel.) |
| --- | --- | --- | --- |
| 1 0 0 | 26.77 | 3.331 | 34 |
| 1 0 4 | 36.05 | 2.492 | 100 |
| 1 1 0 | 47.27 | 1.923 | 34 |
| 0 0 8 | 48.49 | 1.878 | 10 |
| 1 0 8 | 56.24 | 1.636 | 10 |
| 2 0 4 | 60.85 | 1.522 | 22 |
| 1 1 8 | 70.04 | 1.343 | 20 |
| 2 1 4 | 80.47 | 1.194 | 19 |
| 1 0 12 | 82.29 | 1.172 | 9 |
| 3 0 0 | 87.96 | 1.110 | 6 |

Crystal structure
Lattice parameters (Å, degrees): 3.8459 3.8459 15.0201 90.00 90.00 120.00
Space group P6_3/mmc (No. 194)
Asymmetric unit:
Lu 0.0000 0.0000 0.0000 (multiplicity 2)
Lu 0.0000 0.0000 0.2500 (multiplicity 2)
Ni 0.3333 0.6667 0.1299 (multiplicity 4)
P 0.3333 0.6667 0.6207 (multiplicity 4)

Record 2
Structure and simulated XRD peak list of MgScSe3 (a PBE-relaxed structure; CuKα).
Kinematic intensities with the Lorentz-polarization factor, no thermal factor.

Top 10 peaks for 10 to 90 degrees two-theta, in order of rising 2θ:
| (hkl) | 2theta | d_spacing | I (rel.) |
| --- | --- | --- | --- |
| 1 3 0 | 25.53 | 3.490 | 100 |
| 2 0 0 | 28.96 | 3.083 | 53 |
| 2 0 -2 | 29.95 | 2.983 | 38 |
| 0 0 2 | 30.13 | 2.966 | 48 |
| 1 3 -2 | 33.84 | 2.649 | 63 |
| 0 6 0 | 42.72 | 2.116 | 31 |
| 3 3 -2 | 45.00 | 2.014 | 47 |
| 1 3 2 | 45.25 | 2.004 | 39 |
| 3 3 0 | 49.28 | 1.849 | 18 |
| 0 6 2 | 53.16 | 1.723 | 19 |

Crystal structure
Lattice parameters (Å, degrees): 7.0598 12.6982 6.7921 90.00 119.14 90.00
Space group C2/m (No. 12)
Asymmetric unit:
Mg 0.0000 0.1647 0.0000 (multiplicity 4)
Sc 0.1970 0.5000 0.3210 (multiplicity 4)
Se 0.0277 0.0000 0.2572 (multiplicity 4)
Se 0.0354 0.3319 0.7742 (multiplicity 8)

Record 3
Structure and simulated XRD peak list of La15Ge9Ru (a PBE-relaxed structure; CuKα).
Kinematic intensities with the Lorentz-polarization factor, no thermal factor.

Top 10 peaks for 10 to 90 degrees two-theta, in order of rising 2θ:
| (hkl) | 2theta | d_spacing | I (rel.) |
| --- | --- | --- | --- |
| 1 1 2 | 27.66 | 3.225 | 20 |
| 4 1 0 | 30.18 | 2.961 | 27 |
| 3 0 2 | 32.12 | 2.787 | 100 |
| 4 1 1 | 32.78 | 2.732 | 96 |
| 3 3 0 | 34.34 | 2.612 | 44 |
| 6 0 2 | 47.72 | 1.906 | 21 |
| 4 1 3 | 49.39 | 1.845 | 25 |
| 7 1 1 | 52.53 | 1.742 | 13 |
| 4 4 2 | 53.47 | 1.714 | 16 |
| 3 3 4 | 63.51 | 1.465 | 12 |

Crystal structure
Lattice parameters (Å, degrees): 15.6698 15.6698 7.0767 90.00 90.00 120.00
Space group P6_3mc (No. 186)
Asymmetric unit:
La 0.0183 0.3430 0.0000 (multiplicity 12)
La 0.0822 0.1645 0.2785 (multiplicity 6)
La 0.1669 0.5834 0.2536 (multiplicity 6)
La 0.2507 0.5014 0.7207 (multiplicity 6)
Ge 0.0654 0.5327 0.7403 (multiplicity 6)
Ge 0.1313 0.2626 0.7226 (multiplicity 6)
Ge 0.1980 0.3961 0.2865 (multiplicity 6)
Ru 0.3333 0.6667 0.4860 (multiplicity 2)

What is the formula in the second record?
MgScSe3

Repeat the second record exactly.
Structure and simulated XRD peak list of MgScSe3 (a PBE-relaxed structure; CuKα).
Kinematic intensities with the Lorentz-polarization factor, no thermal factor.

Top 10 peaks for 10 to 90 degrees two-theta, in order of rising 2θ:
| (hkl) | 2theta | d_spacing | I (rel.) |
| --- | --- | --- | --- |
| 1 3 0 | 25.53 | 3.490 | 100 |
| 2 0 0 | 28.96 | 3.083 | 53 |
| 2 0 -2 | 29.95 | 2.983 | 38 |
| 0 0 2 | 30.13 | 2.966 | 48 |
| 1 3 -2 | 33.84 | 2.649 | 63 |
| 0 6 0 | 42.72 | 2.116 | 31 |
| 3 3 -2 | 45.00 | 2.014 | 47 |
| 1 3 2 | 45.25 | 2.004 | 39 |
| 3 3 0 | 49.28 | 1.849 | 18 |
| 0 6 2 | 53.16 | 1.723 | 19 |

Crystal structure
Lattice parameters (Å, degrees): 7.0598 12.6982 6.7921 90.00 119.14 90.00
Space group C2/m (No. 12)
Asymmetric unit:
Mg 0.0000 0.1647 0.0000 (multiplicity 4)
Sc 0.1970 0.5000 0.3210 (multiplicity 4)
Se 0.0277 0.0000 0.2572 (multiplicity 4)
Se 0.0354 0.3319 0.7742 (multiplicity 8)

Please write out number 2 again, unchanged.
Structure and simulated XRD peak list of MgScSe3 (a PBE-relaxed structure; CuKα).
Kinematic intensities with the Lorentz-polarization factor, no thermal factor.

Top 10 peaks for 10 to 90 degrees two-theta, in order of rising 2θ:
| (hkl) | 2theta | d_spacing | I (rel.) |
| --- | --- | --- | --- |
| 1 3 0 | 25.53 | 3.490 | 100 |
| 2 0 0 | 28.96 | 3.083 | 53 |
| 2 0 -2 | 29.95 | 2.983 | 38 |
| 0 0 2 | 30.13 | 2.966 | 48 |
| 1 3 -2 | 33.84 | 2.649 | 63 |
| 0 6 0 | 42.72 | 2.116 | 31 |
| 3 3 -2 | 45.00 | 2.014 | 47 |
| 1 3 2 | 45.25 | 2.004 | 39 |
| 3 3 0 | 49.28 | 1.849 | 18 |
| 0 6 2 | 53.16 | 1.723 | 19 |

Crystal structure
Lattice parameters (Å, degrees): 7.0598 12.6982 6.7921 90.00 119.14 90.00
Space group C2/m (No. 12)
Asymmetric unit:
Mg 0.0000 0.1647 0.0000 (multiplicity 4)
Sc 0.1970 0.5000 0.3210 (multiplicity 4)
Se 0.0277 0.0000 0.2572 (multiplicity 4)
Se 0.0354 0.3319 0.7742 (multiplicity 8)